Calculated powder X-ray diffraction pattern
Compound: Tl2Hg2Au
Radiation: Cu Kα (λ = 1.5418 Å)
Structure: a GGA-PBE-relaxed structure

Most intense lines, 2θ = 10–90°, in order of rising 2θ:
Position (°2θ), I (rel.)
27.22, 17.9
29.12, 11.2
34.30, 100.0
37.41, 45.7
48.09, 11.6
53.94, 16.2
59.34, 22.1
65.50, 31.6

```
data_Tl2Hg2Au
_space_group_name_H-M_alt 'I 41/a m d'
_space_group_IT_number 141
_cell_length_a 4.8083
_cell_length_b 4.8083
_cell_length_c 24.5299
_cell_angle_alpha 90.00
_cell_angle_beta 90.00
_cell_angle_gamma 90.00
loop_
_space_group_symop_operation_xyz
'x,y,z'
'-x,-y,-z'
'-y+1/4,x+3/4,z+1/4'
'y+1/4,-x+3/4,-z+1/4'
'-x+1/2,-y,z+1/2'
'x+1/2,y,-z+1/2'
'y+1/4,-x+1/4,z+3/4'
'-y+1/4,x+1/4,-z+3/4'
'x,-y,-z'
'-x,y,z'
'-y+1/4,-x+1/4,-z+3/4'
'y+1/4,x+1/4,z+3/4'
'-x+1/2,y,-z+1/2'
'x+1/2,-y,z+1/2'
'y+1/4,x+3/4,-z+1/4'
'-y+1/4,-x+3/4,z+1/4'
'x+1/2,y+1/2,z+1/2'
'-x+1/2,-y+1/2,-z+1/2'
'-y+3/4,x+1/4,z+3/4'
'y+3/4,-x+1/4,-z+3/4'
'-x,-y+1/2,z'
'x,y+1/2,-z'
'y+3/4,-x+3/4,z+1/4'
'-y+3/4,x+3/4,-z+1/4'
'x+1/2,-y+1/2,-z+1/2'
'-x+1/2,y+1/2,z+1/2'
'-y+3/4,-x+3/4,-z+1/4'
'y+3/4,x+3/4,z+1/4'
'-x,y+1/2,-z'
'x,-y+1/2,z'
'y+3/4,x+1/4,-z+3/4'
'-y+3/4,-x+1/4,z+3/4'
loop_
_atom_site_label
_atom_site_type_symbol
_atom_site_fract_x
_atom_site_fract_y
_atom_site_fract_z
Tl1 Tl 0.0000 0.2500 0.0517
Hg1 Hg 0.0000 0.2500 0.1964
Au1 Au 0.0000 0.2500 0.3750
```

---

Calculated powder X-ray diffraction pattern
Compound: Tl12Hg5Au2
Radiation: Cu Kα (λ = 1.5418 Å)
Structure: a GGA-PBE-relaxed structure

Most intense lines, 2θ = 10–90°, in order of rising 2θ:
Position (°2θ), I (rel.)
26.44, 25.3
30.53, 68.6
31.38, 36.4
31.89, 100.0
32.51, 28.4
34.40, 53.0
37.93, 41.3
47.32, 21.8

```
data_Tl12Hg5Au2
_space_group_name_H-M_alt 'C 1 2/m 1'
_space_group_IT_number 12
_space_group_name_Hall '-C 2y'
_cell_length_a 18.9829
_cell_length_b 7.6848
_cell_length_c 8.2944
_cell_angle_alpha 90.00
_cell_angle_beta 107.73
_cell_angle_gamma 90.00
loop_
_atom_site_label
_atom_site_type_symbol
_atom_site_fract_x
_atom_site_fract_y
_atom_site_fract_z
Tl1 Tl 0.0252 0.0000 0.3266
Tl2 Tl 0.0598 0.5000 0.8820
Tl3 Tl 0.1432 0.2298 0.6717
Tl4 Tl 0.1593 0.2358 0.1952
Hg1 Hg 0.0000 0.5000 0.5000
Hg2 Hg 0.2343 0.5000 0.4969
Hg3 Hg 0.2494 0.5000 0.0050
Au1 Au 0.0000 0.1869 0.0000
```

---

Calculated powder X-ray diffraction pattern
Compound: Tl3Hg5Au2
Radiation: Cu Kα (λ = 1.5418 Å)
Structure: a GGA-PBE-relaxed structure

Most intense lines, 2θ = 10–90°, in order of rising 2θ:
Position (°2θ), I (rel.)
28.73, 62.2
30.84, 100.0
35.08, 29.9
36.77, 19.5
38.64, 26.3
39.13, 20.0
41.39, 30.8
56.99, 21.3

```
data_Tl3Hg5Au2
_space_group_name_H-M_alt 'I b a m'
_space_group_IT_number 72
_space_group_name_Hall '-I 2 2c'
_cell_length_a 13.1202
_cell_length_b 13.2466
_cell_length_c 6.4644
_cell_angle_alpha 90.00
_cell_angle_beta 90.00
_cell_angle_gamma 90.00
loop_
_atom_site_label
_atom_site_type_symbol
_atom_site_fract_x
_atom_site_fract_y
_atom_site_fract_z
Tl1 Tl 0.0000 0.0000 0.2500
Tl2 Tl 0.2075 0.1838 0.0000
Hg1 Hg 0.0000 0.2794 0.2500
Hg2 Hg 0.0000 0.5000 0.2500
Hg3 Hg 0.1961 0.4702 0.0000
Au1 Au 0.1322 0.1544 0.5000
```

---

Calculated powder X-ray diffraction pattern
Compound: Tl4Hg8Au
Radiation: Cu Kα (λ = 1.5418 Å)
Structure: a GGA-PBE-relaxed structure

Most intense lines, 2θ = 10–90°, in order of rising 2θ:
Position (°2θ), I (rel.)
31.64, 100.0
34.32, 27.9
34.76, 18.4
37.65, 25.6
41.85, 19.1
52.16, 15.6
57.54, 15.2
58.67, 16.7

```
data_Tl4Hg8Au
_space_group_name_H-M_alt 'P m m 2'
_space_group_IT_number 25
_space_group_name_Hall 'P 2 -2'
_cell_length_a 4.3173
_cell_length_b 4.7785
_cell_length_c 18.0667
_cell_angle_alpha 90.00
_cell_angle_beta 90.00
_cell_angle_gamma 90.00
loop_
_atom_site_label
_atom_site_type_symbol
_atom_site_fract_x
_atom_site_fract_y
_atom_site_fract_z
Tl1 Tl 0.0000 0.0000 0.0000
Tl2 Tl 0.0000 0.5000 0.4565
Tl3 Tl 0.5000 0.0000 0.7666
Tl4 Tl 0.5000 0.5000 0.2928
Hg1 Hg 0.0000 0.0000 0.3047
Hg2 Hg 0.0000 0.0000 0.6081
Hg3 Hg 0.0000 0.5000 0.1468
Hg4 Hg 0.0000 0.5000 0.8669
Hg5 Hg 0.5000 0.0000 0.1500
Hg6 Hg 0.5000 0.0000 0.4613
Hg7 Hg 0.5000 0.5000 0.0005
Hg8 Hg 0.5000 0.5000 0.6004
Au1 Au 0.0000 0.5000 0.7115
```

---

Calculated powder X-ray diffraction pattern
Compound: Tl16Hg6Au7
Radiation: Cu Kα (λ = 1.5418 Å)
Structure: a GGA-PBE-relaxed structure

Most intense lines, 2θ = 10–90°, in order of rising 2θ:
Position (°2θ), I (rel.)
29.68, 15.5
31.53, 53.4
34.41, 100.0
36.04, 13.6
36.57, 16.0
40.59, 14.5
61.63, 13.6
62.69, 18.9

```
data_Tl16Hg6Au7
_space_group_name_H-M_alt 'F m -3 m'
_space_group_IT_number 225
_space_group_name_Hall '-F 4 2 3'
_cell_length_a 14.7447
_cell_length_b 14.7447
_cell_length_c 14.7447
_cell_angle_alpha 90.00
_cell_angle_beta 90.00
_cell_angle_gamma 90.00
loop_
_atom_site_label
_atom_site_type_symbol
_atom_site_fract_x
_atom_site_fract_y
_atom_site_fract_z
Tl1 Tl 0.1188 0.1188 0.1188
Tl2 Tl 0.1545 0.1545 0.3455
Hg1 Hg 0.0000 0.0000 0.3179
Au1 Au 0.0000 0.0000 0.0000
Au2 Au 0.0000 0.2500 0.2500
```

---

Calculated powder X-ray diffraction pattern
Compound: Tl3Hg12Au
Radiation: Cu Kα (λ = 1.5418 Å)
Structure: a GGA-PBE-relaxed structure

Most intense lines, 2θ = 10–90°, in order of rising 2θ:
Position (°2θ), I (rel.)
32.62, 100.0
34.91, 22.9
36.06, 15.3
42.20, 13.7
51.07, 11.0
55.88, 12.1
61.16, 17.0
71.10, 11.5

```
data_Tl3Hg12Au
_space_group_name_H-M_alt 'P m m m'
_space_group_IT_number 47
_space_group_name_Hall '-P 2 2'
_cell_length_a 4.2832
_cell_length_b 5.1401
_cell_length_c 19.9236
_cell_angle_alpha 90.00
_cell_angle_beta 90.00
_cell_angle_gamma 90.00
loop_
_atom_site_label
_atom_site_type_symbol
_atom_site_fract_x
_atom_site_fract_y
_atom_site_fract_z
Tl1 Tl 0.0000 0.0000 0.0000
Tl2 Tl 0.0000 0.0000 0.2702
Hg1 Hg 0.0000 0.5000 0.1312
Hg2 Hg 0.0000 0.5000 0.3844
Hg3 Hg 0.5000 0.0000 0.1337
Hg4 Hg 0.5000 0.0000 0.3965
Hg5 Hg 0.5000 0.5000 0.0000
Hg6 Hg 0.5000 0.5000 0.2583
Hg7 Hg 0.5000 0.5000 0.5000
Au1 Au 0.0000 0.0000 0.5000
```

---

Calculated powder X-ray diffraction pattern
Compound: Tl4Hg15Au
Radiation: Cu Kα (λ = 1.5418 Å)
Structure: a GGA-PBE-relaxed structure

Most intense lines, 2θ = 10–90°, in order of rising 2θ:
Position (°2θ), I (rel.)
32.76, 100.0
34.72, 49.0
43.96, 7.4
49.92, 17.9
60.94, 17.4
61.06, 19.5
68.67, 8.1
82.60, 7.6

```
data_Tl4Hg15Au
_space_group_name_H-M_alt 'P m m m'
_space_group_IT_number 47
_space_group_name_Hall '-P 2 2'
_cell_length_a 5.1614
_cell_length_b 5.1741
_cell_length_c 20.5992
_cell_angle_alpha 90.00
_cell_angle_beta 90.00
_cell_angle_gamma 90.00
loop_
_atom_site_label
_atom_site_type_symbol
_atom_site_fract_x
_atom_site_fract_y
_atom_site_fract_z
Tl1 Tl 0.0000 0.0000 0.1061
Tl2 Tl 0.0000 0.0000 0.3203
Hg1 Hg 0.0000 0.5000 0.0000
Hg2 Hg 0.0000 0.5000 0.2101
Hg3 Hg 0.0000 0.5000 0.4152
Hg4 Hg 0.5000 0.0000 0.0000
Hg5 Hg 0.5000 0.0000 0.2099
Hg6 Hg 0.5000 0.0000 0.4156
Hg7 Hg 0.5000 0.5000 0.1049
Hg8 Hg 0.5000 0.5000 0.3132
Hg9 Hg 0.5000 0.5000 0.5000
Au1 Au 0.0000 0.0000 0.5000
```

---

Calculated powder X-ray diffraction pattern
Compound: Tl3Hg5Au6
Radiation: Cu Kα (λ = 1.5418 Å)
Structure: a GGA-PBE-relaxed structure

Most intense lines, 2θ = 10–90°, in order of rising 2θ:
Position (°2θ), I (rel.)
32.02, 100.0
32.25, 28.8
32.54, 38.3
34.77, 45.0
37.24, 61.4
37.63, 69.3
41.36, 54.3
61.04, 29.5

```
data_Tl3Hg5Au6
_space_group_name_H-M_alt 'I m m m'
_space_group_IT_number 71
_space_group_name_Hall '-I 2 2'
_cell_length_a 4.7812
_cell_length_b 10.2284
_cell_length_c 13.9846
_cell_angle_alpha 90.00
_cell_angle_beta 90.00
_cell_angle_gamma 90.00
loop_
_atom_site_label
_atom_site_type_symbol
_atom_site_fract_x
_atom_site_fract_y
_atom_site_fract_z
Tl1 Tl 0.0000 0.0000 0.0000
Tl2 Tl 0.0000 0.0000 0.3224
Hg1 Hg 0.0000 0.3542 0.3074
Hg2 Hg 0.0000 0.5000 0.0000
Au1 Au 0.0000 0.2167 0.5000
Au2 Au 0.0000 0.2589 0.1105
```

---

Calculated powder X-ray diffraction pattern
Compound: Tl4Hg3Au2
Radiation: Cu Kα (λ = 1.5418 Å)
Structure: a GGA-PBE-relaxed structure

Most intense lines, 2θ = 10–90°, in order of rising 2θ:
Position (°2θ), I (rel.)
31.97, 100.0
33.02, 72.3
33.88, 26.8
34.35, 20.7
38.10, 17.1
40.84, 35.2
42.22, 12.3
54.08, 14.5

```
data_Tl4Hg3Au2
_space_group_name_H-M_alt 'C 1 2/m 1'
_space_group_IT_number 12
_space_group_name_Hall '-C 2y'
_cell_length_a 15.8947
_cell_length_b 4.4190
_cell_length_c 7.4434
_cell_angle_alpha 90.00
_cell_angle_beta 107.85
_cell_angle_gamma 90.00
loop_
_atom_site_label
_atom_site_type_symbol
_atom_site_fract_x
_atom_site_fract_y
_atom_site_fract_z
Tl1 Tl 0.0742 0.0000 0.3514
Tl2 Tl 0.2313 0.5000 0.2271
Hg1 Hg 0.0000 0.5000 0.0000
Hg2 Hg 0.1058 0.5000 0.6808
Au1 Au 0.1267 0.0000 0.9726
```

---

Calculated powder X-ray diffraction pattern
Compound: Tm7Hg2Au2
Radiation: Cu Kα (λ = 1.5418 Å)
Structure: a GGA-PBE-relaxed structure

Most intense lines, 2θ = 10–90°, in order of rising 2θ:
Position (°2θ), I (rel.)
20.37, 28.3
25.71, 52.3
28.35, 32.1
29.65, 21.9
32.78, 54.6
36.82, 46.8
37.53, 100.0
44.26, 22.3

```
data_Tm7Hg2Au2
_space_group_name_H-M_alt 'C m m m'
_space_group_IT_number 65
_space_group_name_Hall '-C 2 2'
_cell_length_a 7.8965
_cell_length_b 10.9279
_cell_length_c 7.2329
_cell_angle_alpha 90.00
_cell_angle_beta 90.00
_cell_angle_gamma 90.00
loop_
_atom_site_label
_atom_site_type_symbol
_atom_site_fract_x
_atom_site_fract_y
_atom_site_fract_z
Tm1 Tm 0.0000 0.0000 0.0000
Tm2 Tm 0.0000 0.5000 0.2548
Tm3 Tm 0.2500 0.2500 0.2683
Hg1 Hg 0.1832 0.0000 0.5000
Au1 Au 0.0000 0.2929 0.0000
```

---

Calculated powder X-ray diffraction pattern
Compound: Tm4HgAu2
Radiation: Cu Kα (λ = 1.5418 Å)
Structure: a GGA-PBE-relaxed structure

Most intense lines, 2θ = 10–90°, in order of rising 2θ:
Position (°2θ), I (rel.)
21.73, 33.3
24.81, 20.6
26.49, 29.3
37.72, 100.0
37.92, 74.7
40.61, 19.3
54.56, 26.4
68.23, 27.2

```
data_Tm4HgAu2
_space_group_name_H-M_alt 'R -3 m'
_space_group_IT_number 166
_space_group_name_Hall '-R 3 2"'
_cell_length_a 4.7701
_cell_length_b 4.7701
_cell_length_c 28.9839
_cell_angle_alpha 90.00
_cell_angle_beta 90.00
_cell_angle_gamma 120.00
loop_
_atom_site_label
_atom_site_type_symbol
_atom_site_fract_x
_atom_site_fract_y
_atom_site_fract_z
Tm1 Tm 0.0000 0.0000 0.1162
Tm2 Tm 0.0000 0.0000 0.2980
Hg1 Hg 0.0000 0.0000 0.5000
Au1 Au 0.0000 0.0000 0.3987
```

---

Calculated powder X-ray diffraction pattern
Compound: Tm3Hg2Au
Radiation: Cu Kα (λ = 1.5418 Å)
Structure: a GGA-PBE-relaxed structure

Most intense lines, 2θ = 10–90°, in order of rising 2θ:
Position (°2θ), I (rel.)
24.52, 0.8
34.95, 100.0
50.26, 18.0
62.67, 27.9
62.72, 9.4
73.82, 11.6
84.36, 16.8

```
data_Tm3Hg2Au
_space_group_name_H-M_alt 'P -3 m 1'
_space_group_IT_number 164
_space_group_name_Hall '-P 3 2"'
_cell_length_a 5.1317
_cell_length_b 5.1317
_cell_length_c 6.2957
_cell_angle_alpha 90.00
_cell_angle_beta 90.00
_cell_angle_gamma 120.00
loop_
_atom_site_label
_atom_site_type_symbol
_atom_site_fract_x
_atom_site_fract_y
_atom_site_fract_z
Tm1 Tm 0.0000 0.0000 0.0000
Tm2 Tm 0.3333 0.6667 0.6545
Hg1 Hg 0.3333 0.6667 0.1564
Au1 Au 0.0000 0.0000 0.5000
```